Pr2Y: calculated XRD peak list (λ = 1.5418 Å (Cu Kα)), based on a DFT-relaxed cell (PBE, the Materials Project).
Neutral-atom scattering factors, no anomalous dispersion.

Atomic structure:
```
data_Pr2Y
_chemical_formula_sum 'Pr6 Y3'
_space_group_name_H-M_alt 'R -3 m'
_space_group_IT_number 166
_space_group_name_Hall '-R 3 2"'
_cell_length_a 3.6677
_cell_length_b 3.6677
_cell_length_c 27.1547
_cell_angle_alpha 90.00
_cell_angle_beta 90.00
_cell_angle_gamma 120.00
loop_
_atom_site_label
_atom_site_type_symbol
_atom_site_fract_x
_atom_site_fract_y
_atom_site_fract_z
Pr1 Pr 0.0000 0.0000 0.2249
Y1 Y 0.0000 0.0000 0.0000
```

Largest 8 diffraction maxima, in order of rising 2θ, 2θ from 5° to 70°:
d [Å]	I_rel	index
3.155	23	1 0 1
3.093	38	0 1 2
3.017	51	0 0 9
2.877	100	1 0 4
2.742	73	0 1 5
1.834	37	1 1 0
1.745	26	1 0 13
1.567	43	1 1 9